[1]
The following is a theoretical X-ray powder pattern of Li4Mn2Co5O12. It was derived from a cell relaxed with GGA+U, using Cu Ka.

Largest 12 diffraction maxima, by angle, 10° ≤ 2θ ≤ 80°:
| 2θ (°) | d [Å] | intensity |
| --- | --- | --- |
| 18.3 | 4.842 | 50 |
| 20.0 | 4.431 | 25 |
| 21.2 | 4.197 | 19 |
| 24.0 | 3.706 | 34 |
| 37.1 | 2.421 | 13 |
| 37.6 | 2.393 | 29 |
| 43.2 | 2.095 | 100 |
| 44.4 | 2.040 | 47 |
| 62.5 | 1.485 | 13 |
| 62.9 | 1.477 | 13 |
| 63.3 | 1.470 | 26 |
| 64.1 | 1.453 | 26 |

Cell and atoms:
```
46
Lattice="5.0074 0.0000 0.0000 0.0000 8.8629 0.0000 -1.8838 0.0000 9.6838" Properties=species:S:1:pos:R:3 pbc="T T T"
Li -0.4846 0.0000 2.5230
Li 0.2593 1.4846 4.8859
Li 1.9699 1.4398 2.5452
Li 1.0793 0.1058 7.1514
Li 2.0444 4.5373 2.5324
Li 1.1537 5.8712 7.1386
Li 2.8643 5.9160 4.7979
Li 3.6082 4.4315 7.1608
Mn -0.6363 2.9897 9.6671
Mn 0.3108 7.3921 4.8152
Mn 2.8129 2.9606 4.8686
Mn 3.7599 7.4211 0.0167
Co -0.4625 2.9896 2.5049
Co 1.2269 5.9337 0.0113
Co 0.3160 4.4873 4.8184
Co -0.5919 0.0604 9.6510
Co 1.0752 2.8701 7.1586
Co 2.0485 7.3015 2.5252
Co 3.7156 4.4919 0.0328
Co 2.8077 0.0558 4.8654
Co 1.8967 1.5022 9.6725
Co 3.5862 7.4211 7.1790
O -0.5739 8.7348 5.9072
O 0.3942 7.5505 1.0981
O -0.5165 3.1455 5.9012
O 0.4412 4.3168 1.0862
O 0.4817 1.6084 1.1259
O -0.4266 5.9861 5.9340
O 0.1626 1.5554 8.6114
O 1.1185 5.9908 3.7649
O 0.1992 4.3268 8.5319
O 1.1745 3.1130 3.7368
O 0.2551 7.4728 8.5553
O 1.1999 8.7770 3.7461
O 1.9238 4.3455 5.9377
O 2.8686 3.0413 1.1285
O 1.9491 7.5445 5.9470
O 2.9245 8.7583 1.1519
O 2.0051 1.5593 5.9189
O 2.9611 5.9868 1.0724
O 3.5503 1.5546 3.7498
O 2.6420 6.0398 8.5579
O 2.6824 8.7482 8.5976
O 3.6402 7.5769 3.7826
O 2.7295 3.1190 8.5857
O 3.6975 4.3034 3.7767
```

[2]
The following is a theoretical X-ray powder pattern of Li7Mn4CoO12. It was derived from a cell relaxed with GGA+U, using Cu Ka.

Largest 12 diffraction maxima, by angle, 10° ≤ 2θ ≤ 80°:
| 2θ (°) | d [Å] | intensity |
| --- | --- | --- |
| 15.3 | 5.776 | 9 |
| 18.5 | 4.805 | 100 |
| 35.0 | 2.562 | 14 |
| 36.3 | 2.473 | 12 |
| 36.7 | 2.448 | 12 |
| 42.2 | 2.141 | 31 |
| 44.2 | 2.047 | 27 |
| 44.6 | 2.031 | 26 |
| 62.6 | 1.484 | 8 |
| 62.9 | 1.478 | 7 |
| 63.0 | 1.475 | 7 |
| 63.3 | 1.469 | 7 |

Cell and atoms:
```
24
Lattice="5.9064 0.0000 0.0000 0.2663 5.9378 0.0000 1.6269 1.4513 6.0932" Properties=species:S:1:pos:R:3 pbc="T T T"
Li 0.0000 0.0000 0.0000
Li 0.1332 2.9689 0.0000
Li 3.1532 2.9413 4.1383
Li 3.3279 5.8904 4.1741
Li 3.0864 2.9689 0.0000
Li 4.4717 1.4987 1.9192
Li 4.6464 4.4478 1.9549
Mn 1.5959 1.4830 1.9887
Mn 1.7620 4.4529 2.0128
Mn 6.0377 2.9362 4.0804
Mn 6.2037 5.9060 4.1046
Co 2.9532 0.0000 0.0000
O 1.4329 1.4022 3.9717
O 1.7018 4.5468 4.0123
O 1.5910 1.4146 0.0987
O 1.8050 4.5685 0.1216
O 2.9171 2.8758 2.0944
O 3.2295 6.0637 1.9367
O 4.5701 1.3254 4.1566
O 4.8825 4.5133 3.9988
O 5.9946 2.8206 5.9716
O 6.2087 5.9744 5.9945
O 6.0978 2.8423 2.0809
O 6.3667 5.9868 2.1215
```

[3]
The following is a theoretical X-ray powder pattern of Li7Mn2Co3O12. It was derived from a cell relaxed with GGA+U, using Cu Ka.

Largest 12 diffraction maxima, by angle, 10° ≤ 2θ ≤ 80°:
| 2θ (°) | d [Å] | intensity |
| --- | --- | --- |
| 18.3 | 4.857 | 100 |
| 30.8 | 2.901 | 6 |
| 35.3 | 2.543 | 12 |
| 36.1 | 2.486 | 24 |
| 37.6 | 2.393 | 6 |
| 42.7 | 2.118 | 26 |
| 43.7 | 2.069 | 54 |
| 47.4 | 1.916 | 11 |
| 57.6 | 1.601 | 9 |
| 62.7 | 1.483 | 14 |
| 62.9 | 1.477 | 20 |
| 64.3 | 1.450 | 8 |

Cell and atoms:
```
24
Lattice="5.1771 0.0000 0.0000 0.0000 2.8992 0.0000 -0.1669 0.0000 14.5056" Properties=species:S:1:pos:R:3 pbc="T T T"
Li 0.0000 0.0000 0.0000
Li -0.0835 0.0000 7.2528
Li 0.8092 1.4496 4.7738
Li 1.7053 0.0000 2.2602
Li 2.5885 1.4496 0.0000
Li 3.3048 0.0000 12.2454
Li 4.2009 1.4496 9.7318
Mn 1.5894 0.0000 9.6864
Mn 3.4207 0.0000 4.8191
Co 0.6081 1.4496 12.2726
Co 2.5051 1.4496 7.2528
Co 4.4020 1.4496 2.2330
O 0.0744 0.0000 10.8328
O 0.7551 1.4496 1.3326
O 0.8146 1.4496 8.5791
O 1.5553 0.0000 13.1704
O 1.8418 0.0000 6.0392
O 2.3544 1.4496 10.6961
O 2.6558 1.4496 3.8095
O 3.1683 0.0000 8.4664
O 3.4548 0.0000 1.3352
O 4.1956 1.4496 5.9264
O 4.2550 1.4496 13.1730
O 4.9357 0.0000 3.6728
```

[4]
The following is a theoretical X-ray powder pattern of Li4MnCo3O8. It was derived from a cell relaxed with GGA+U, using Cu Ka.

Largest 12 diffraction maxima, by angle, 10° ≤ 2θ ≤ 80°:
| 2θ (°) | d [Å] | intensity |
| --- | --- | --- |
| 18.2 | 4.882 | 100 |
| 35.9 | 2.501 | 42 |
| 36.8 | 2.441 | 5 |
| 37.5 | 2.398 | 14 |
| 43.4 | 2.086 | 76 |
| 47.4 | 1.918 | 15 |
| 57.0 | 1.614 | 14 |
| 62.6 | 1.485 | 21 |
| 63.5 | 1.465 | 21 |
| 66.6 | 1.403 | 14 |
| 75.1 | 1.264 | 4 |
| 75.7 | 1.256 | 5 |

Cell and atoms:
```
16
Lattice="2.9307 1.6921 4.8815 -2.9307 1.6921 4.8815 0.0000 -3.3841 4.8815" Properties=species:S:1:pos:R:3 pbc="T T T"
Li 0.0000 0.0000 0.0000
Li -1.4654 -0.8460 4.8815
Li -1.4654 0.8460 9.7630
Li 0.0000 1.6921 4.8815
Mn 0.0000 0.0000 7.3223
Co -2.9307 0.0000 7.3223
Co -1.4654 0.8460 2.4408
Co 1.4654 0.8460 2.4408
O 0.0000 0.0000 3.5358
O -1.3867 -0.8006 8.4433
O 0.0000 -1.6012 6.2013
O -1.3867 0.8006 6.2013
O 1.3867 -0.8006 8.4433
O 0.0000 1.6012 8.4433
O 1.3867 0.8006 6.2013
O 0.0000 0.0000 11.1088
```

[5]
The following is a theoretical X-ray powder pattern of Li4MnCo2O7. It was derived from a cell relaxed with GGA+U, using Cu Ka.

Largest 12 diffraction maxima, by angle, 10° ≤ 2θ ≤ 80°:
| 2θ (°) | d [Å] | intensity |
| --- | --- | --- |
| 11.2 | 7.917 | 7 |
| 18.4 | 4.813 | 100 |
| 34.6 | 2.595 | 19 |
| 36.8 | 2.445 | 12 |
| 36.8 | 2.443 | 11 |
| 37.3 | 2.408 | 8 |
| 41.5 | 2.176 | 34 |
| 44.7 | 2.029 | 26 |
| 44.9 | 2.021 | 26 |
| 62.6 | 1.484 | 16 |
| 62.7 | 1.483 | 8 |
| 62.9 | 1.478 | 8 |

Cell and atoms:
```
28
Lattice="2.9728 0.0000 0.0000 0.1332 8.0832 0.0000 0.7934 2.1414 10.3942" Properties=species:S:1:pos:R:3 pbc="T T T"
Li 0.0000 0.0000 0.0000
Li 0.8734 6.1107 10.3347
Li 1.0089 2.0819 7.3808
Li 1.2832 6.0814 4.4463
Li 1.4451 1.9196 1.3849
Li 2.5261 8.1874 8.8448
Li 2.6427 4.0824 5.9111
Li 2.9400 8.0870 2.8382
Mn 1.2358 2.0234 4.3962
Mn 1.5140 6.0997 1.3870
Co 1.0868 6.0925 7.3790
Co 2.4222 4.0230 8.9049
Co 2.7107 8.0940 5.9099
Co 2.8874 4.0287 2.8850
O 1.0448 8.0195 7.3380
O 1.1259 4.1940 7.4398
O 1.1939 4.0075 4.3238
O 1.4081 8.1364 4.4978
O 1.5109 7.9203 1.4622
O 1.5529 4.1032 1.5208
O 2.3989 5.9776 8.7710
O 2.4224 2.2824 8.8132
O 2.5336 1.9497 5.8521
O 2.7491 6.1777 5.9579
O 2.8975 2.1046 2.9474
O 2.9656 5.9699 2.7412
O 3.0146 6.0152 0.1139
O 3.7487 4.1360 10.2086
```

[6]
The following is a theoretical X-ray powder pattern of Li7Mn2Co3O12. It was derived from a cell relaxed with GGA+U, using Cu Ka.

Largest 12 diffraction maxima, by angle, 10° ≤ 2θ ≤ 80°:
| 2θ (°) | d [Å] | intensity |
| --- | --- | --- |
| 12.2 | 7.268 | 9 |
| 18.3 | 4.845 | 100 |
| 35.5 | 2.527 | 14 |
| 35.8 | 2.505 | 13 |
| 36.6 | 2.458 | 11 |
| 43.2 | 2.096 | 28 |
| 43.3 | 2.090 | 27 |
| 44.2 | 2.050 | 26 |
| 62.3 | 1.489 | 7 |
| 62.6 | 1.485 | 8 |
| 63.0 | 1.475 | 7 |
| 63.7 | 1.462 | 7 |

Cell and atoms:
```
24
Lattice="2.8868 0.0000 0.0000 0.0933 5.1396 0.0000 0.2096 0.1187 14.5358" Properties=species:S:1:pos:R:3 pbc="T T T"
Li 0.0000 0.0000 0.0000
Li 0.1981 5.1906 7.1705
Li 0.2718 3.5427 12.2664
Li 1.6331 0.8619 12.3129
Li 1.5994 2.6525 7.2042
Li 1.5695 4.4032 2.2790
Li 2.9314 1.7519 2.3496
Mn 0.1769 1.7992 9.6855
Mn 1.6998 2.6973 14.5357
Co 0.1340 3.4799 4.8215
Co 1.5306 0.9092 4.8186
Co 1.6695 4.3710 9.6936
O 0.2445 1.9164 13.4516
O 0.1762 0.2026 10.7665
O 0.1553 1.7266 5.9625
O 1.4927 2.6625 3.7521
O 1.6217 2.5606 10.7326
O 1.7114 4.2504 13.3801
O 1.4830 1.0306 1.1234
O 1.6204 1.0317 8.6025
O 1.6532 4.3138 5.9818
O 2.8973 0.0776 3.7217
O 2.9429 3.3605 1.0697
O 3.0696 3.4110 8.5929
```

[7]
The following is a theoretical X-ray powder pattern of Li7Mn2Co3O12. It was derived from a cell relaxed with GGA+U, using Cu Ka.

Largest 12 diffraction maxima, by angle, 10° ≤ 2θ ≤ 80°:
| 2θ (°) | d [Å] | intensity |
| --- | --- | --- |
| 12.4 | 7.156 | 12 |
| 18.3 | 4.838 | 100 |
| 34.1 | 2.626 | 21 |
| 36.1 | 2.486 | 12 |
| 36.8 | 2.441 | 10 |
| 41.0 | 2.202 | 36 |
| 43.9 | 2.061 | 29 |
| 45.0 | 2.015 | 25 |
| 61.4 | 1.510 | 9 |
| 61.9 | 1.499 | 9 |
| 62.4 | 1.488 | 8 |
| 62.5 | 1.485 | 8 |

Cell and atoms:
```
24
Lattice="3.0260 0.0000 0.0000 -0.9911 7.7416 0.0000 -0.2935 -3.7821 9.3666" Properties=species:S:1:pos:R:3 pbc="T T T"
Li 0.0000 0.0000 0.0000
Li 0.0447 1.0018 3.8621
Li -0.1028 -0.8893 8.6354
Li 0.2948 4.8624 7.0651
Li 1.4466 -0.9030 2.3014
Li 1.8442 4.8488 0.7311
Li 1.6967 2.9576 5.5045
Mn 0.2660 3.8829 3.0987
Mn 1.4754 0.0765 6.2679
Co -0.1467 -1.8910 4.6833
Co 0.1319 2.1061 7.8770
Co 1.6095 1.8534 1.4896
O -0.2318 -1.3836 6.5576
O -0.0630 0.6139 1.9074
O 0.2900 3.3188 1.2578
O 0.1537 1.5136 6.0160
O 0.4072 6.2164 0.2103
O 0.3262 4.4474 4.9617
O 1.4152 -0.4879 4.4049
O 1.3342 -2.2570 9.1563
O 1.5878 2.4459 3.3506
O 1.4514 0.6406 8.1087
O 1.8044 3.3456 7.4592
O 1.9732 5.3430 2.8089
```

[8]
The following is a theoretical X-ray powder pattern of Li7Mn4CoO12. It was derived from a cell relaxed with GGA+U, using Cu Ka.

Largest 12 diffraction maxima, by angle, 10° ≤ 2θ ≤ 80°:
| 2θ (°) | d [Å] | intensity |
| --- | --- | --- |
| 10.3 | 8.594 | 12 |
| 18.4 | 4.821 | 100 |
| 34.4 | 2.608 | 17 |
| 36.4 | 2.467 | 25 |
| 41.4 | 2.179 | 34 |
| 44.4 | 2.041 | 56 |
| 47.3 | 1.921 | 9 |
| 58.5 | 1.578 | 9 |
| 62.1 | 1.494 | 17 |
| 62.5 | 1.485 | 16 |
| 64.0 | 1.455 | 7 |
| 65.1 | 1.432 | 8 |

Cell and atoms:
```
24
Lattice="5.2196 0.0000 0.0000 0.0000 8.5936 0.0000 -2.0165 0.0000 4.8594" Properties=species:S:1:pos:R:3 pbc="T T T"
Li 0.0000 0.0000 0.0000
Li -1.0082 1.3695 2.4297
Li 0.0000 2.8012 0.0000
Li -1.0082 4.2433 2.4297
Li 0.0000 5.6579 0.0000
Li -1.0082 7.1392 2.4297
Li 2.6098 1.4024 0.0000
Mn 1.6016 2.8186 2.4297
Mn 1.6016 5.6742 2.4297
Mn 2.6098 7.1326 0.0000
Mn 1.6016 8.5623 2.4297
Co 2.6098 4.2311 0.0000
O 0.8186 7.1358 1.3406
O 0.8150 1.3917 1.3620
O 0.8259 4.2287 1.3353
O -0.1522 5.6595 3.7769
O 0.0116 8.4879 3.5895
O 0.0210 2.8971 3.6144
O 3.1821 2.8971 1.2449
O 3.1915 8.4879 1.2699
O 3.3553 5.6595 1.0824
O 2.3881 1.3917 3.4974
O 2.3772 4.2287 3.5240
O 2.3846 7.1358 3.5187
```

[9]
The following is a theoretical X-ray powder pattern of Li4Mn3CoO8. It was derived from a cell relaxed with GGA+U, using Cu Ka.

Largest 12 diffraction maxima, by angle, 10° ≤ 2θ ≤ 80°:
| 2θ (°) | d [Å] | intensity |
| --- | --- | --- |
| 18.3 | 4.851 | 100 |
| 34.8 | 2.577 | 15 |
| 35.0 | 2.565 | 15 |
| 35.9 | 2.499 | 13 |
| 36.9 | 2.437 | 14 |
| 42.2 | 2.143 | 28 |
| 42.4 | 2.131 | 27 |
| 44.1 | 2.053 | 25 |
| 61.3 | 1.513 | 8 |
| 61.4 | 1.510 | 7 |
| 62.5 | 1.486 | 7 |
| 62.7 | 1.481 | 7 |

Cell and atoms:
```
32
Lattice="5.9192 0.0000 0.0000 2.8488 5.1995 0.0000 2.5635 1.6086 9.7491" Properties=species:S:1:pos:R:3 pbc="T T T"
Li 0.0000 0.0000 0.0000
Li 1.4211 2.5853 0.0015
Li 4.1120 2.4894 7.3175
Li 5.5507 5.0857 7.2978
Li 5.6771 3.3908 4.8632
Li 7.0992 5.9766 4.8716
Li 7.2136 4.2859 2.4438
Li 5.8014 1.6813 2.4230
Mn 2.7144 3.3804 4.8767
Mn 4.1404 5.9842 4.8649
Mn 2.8432 1.6760 2.4327
Mn 5.8072 5.1939 0.0001
Mn 6.9492 4.2061 9.7370
Mn 8.5065 5.0829 7.3058
Co 4.2583 4.2847 2.4360
Co 7.0768 2.4852 7.3076
O 2.6429 1.7230 5.9581
O 4.1072 4.0908 6.0306
O 1.5836 0.7961 1.1754
O 2.9708 3.2285 1.2260
O 4.0694 2.5668 3.7046
O 5.5616 5.3130 3.6439
O 6.9758 6.0922 8.5916
O 5.5976 3.2536 8.6593
O 5.7365 3.5393 1.0811
O 4.3571 0.7005 1.1562
O 7.2566 4.1913 6.0461
O 5.7960 1.4262 6.0958
O 8.3743 3.5327 8.5197
O 9.7258 5.9905 8.5742
O 7.2392 2.6738 3.7216
O 8.7032 5.0354 3.7885
```